Record 1
# Sr2CaTi3O9
Calculated powder X-ray diffraction pattern, λ = 1.5418 Å (Cu Kα). Input: a GGA-PBE-relaxed structure.

Structural model:
```
data_Sr2CaTi3O9
_symmetry_space_group_name_H-M 'P 4/m m m'
_symmetry_Int_Tables_number 123
_symmetry_space_group_name_Hall '-P 4 2'
_cell_length_a 3.928
_cell_length_b 3.928
_cell_length_c 11.785
_cell_angle_alpha 90.00
_cell_angle_beta 90.00
_cell_angle_gamma 90.00
loop_
_atom_site_label
_atom_site_type_symbol
_atom_site_fract_x
_atom_site_fract_y
_atom_site_fract_z
Sr1 Sr 0.000 0.000 0.167
Ca1 Ca 0.000 0.000 0.500
Ti1 Ti 0.500 0.500 0.000
Ti2 Ti 0.500 0.500 0.334
O1 O 0.000 0.500 0.000
O2 O 0.000 0.500 0.334
O3 O 0.500 0.500 0.167
O4 O 0.500 0.500 0.500
```

Main lines, in order of rising 2θ (10° ≤ 2θ ≤ 80°):
2θ (°)  Rel. int.  (hkl)
15.04  2  0 0 2
23.88  3  1 0 1
27.29  2  1 0 2
32.23  100  1 1 0
33.13  1  1 1 1
39.74  19  1 1 3
46.22  45  2 0 0
57.46  37  2 1 3
67.43  25  2 2 0
76.72  16  3 1 0


Record 2
# Sr2CaTi3O9
Calculated powder X-ray diffraction pattern, λ = 1.5418 Å (Cu Kα). Input: a GGA-PBE-relaxed structure.

Structural model:
```
data_Sr2CaTi3O9
_symmetry_space_group_name_H-M 'P 1 m 1'
_symmetry_Int_Tables_number 6
_symmetry_space_group_name_Hall 'P -2y'
_cell_length_a 5.541
_cell_length_b 23.536
_cell_length_c 5.546
_cell_angle_alpha 90.00
_cell_angle_beta 90.07
_cell_angle_gamma 90.00
loop_
_atom_site_label
_atom_site_type_symbol
_atom_site_fract_x
_atom_site_fract_y
_atom_site_fract_z
Sr1 Sr 0.000 0.000 0.000
Sr2 Sr 0.001 0.334 0.000
Sr3 Sr 0.497 0.000 0.496
Sr4 Sr 0.499 0.333 0.495
Sr5 Sr 0.983 0.167 0.995
Ca1 Ca 0.475 0.500 0.495
Ca2 Ca 0.478 0.167 0.495
Ca3 Ca 0.975 0.500 0.998
Ti1 Ti 0.489 0.418 0.998
Ti2 Ti 0.490 0.250 0.998
Ti3 Ti 0.491 0.084 0.998
Ti4 Ti 0.989 0.084 0.497
Ti5 Ti 0.989 0.418 0.495
Ti6 Ti 0.990 0.250 0.497
O1 O 0.000 0.500 0.440
O2 O 0.002 0.167 0.462
O3 O 0.215 0.427 0.772
O4 O 0.225 0.089 0.762
O5 O 0.225 0.244 0.762
O6 O 0.259 0.078 0.263
O7 O 0.259 0.256 0.263
O8 O 0.266 0.411 0.271
O9 O 0.491 0.167 0.046
O10 O 0.492 0.334 0.961
O11 O 0.494 0.000 0.964
O12 O 0.499 0.500 0.054
O13 O 0.715 0.427 0.721
O14 O 0.717 0.092 0.722
O15 O 0.718 0.241 0.722
O16 O 0.761 0.078 0.226
O17 O 0.761 0.256 0.226
O18 O 0.766 0.411 0.222
O19 O 0.985 0.000 0.531
O20 O 0.988 0.334 0.533
```

Main lines, in order of rising 2θ (10° ≤ 2θ ≤ 80°):
2θ (°)  Rel. int.  (hkl)
11.28  3  0 3 0
25.40  3  1 3 1
32.29  100  2 0 0
34.31  2  0 9 0
39.82  17  2 6 0
46.32  43  0 12 0
57.59  39  1 6 3
67.58  23  4 0 0
76.87  12  1 18 -1
76.97  4  4 0 2


Record 3
# SrCa3Ti4O12
Calculated powder X-ray diffraction pattern, λ = 1.5418 Å (Cu Kα). Input: a GGA-PBE-relaxed structure.

Structural model:
```
data_SrCa3Ti4O12
_symmetry_space_group_name_H-M 'P 1 m 1'
_symmetry_Int_Tables_number 6
_symmetry_space_group_name_Hall 'P -2y'
_cell_length_a 5.469
_cell_length_b 7.762
_cell_length_c 5.509
_cell_angle_alpha 90.00
_cell_angle_beta 90.13
_cell_angle_gamma 90.00
loop_
_atom_site_label
_atom_site_type_symbol
_atom_site_fract_x
_atom_site_fract_y
_atom_site_fract_z
Sr1 Sr 0.000 0.000 0.000
Ca1 Ca 0.010 0.500 0.059
Ca2 Ca 0.503 0.500 0.553
Ca3 Ca 0.510 0.000 0.489
Ti1 Ti 0.007 0.253 0.524
Ti2 Ti 0.507 0.252 0.020
O1 O 0.074 0.000 0.526
O2 O 0.215 0.288 0.811
O3 O 0.287 0.289 0.307
O4 O 0.454 0.000 0.042
O5 O 0.577 0.500 0.000
O6 O 0.713 0.214 0.733
O7 O 0.785 0.226 0.242
O8 O 0.936 0.500 0.514
```

Main lines, in order of rising 2θ (10° ≤ 2θ ≤ 80°):
2θ (°)  Rel. int.  (hkl)
32.51  26  0 0 2
32.63  100  1 2 -1
32.75  24  2 0 0
46.79  44  0 4 0
46.87  21  2 0 2
58.07  17  1 2 -3
58.15  11  0 4 2
58.33  22  3 2 -1
58.42  12  3 2 1
68.36  21  2 4 2


Record 4
# Sr2CaTi3O9
Calculated powder X-ray diffraction pattern, λ = 1.5418 Å (Cu Kα). Input: a GGA-PBE-relaxed structure.

Structural model:
```
data_Sr2CaTi3O9
_symmetry_space_group_name_H-M 'F m m 2'
_symmetry_Int_Tables_number 42
_symmetry_space_group_name_Hall 'F 2 -2'
_cell_length_a 7.836
_cell_length_b 23.508
_cell_length_c 7.881
_cell_angle_alpha 90.00
_cell_angle_beta 90.00
_cell_angle_gamma 90.00
loop_
_atom_site_label
_atom_site_type_symbol
_atom_site_fract_x
_atom_site_fract_y
_atom_site_fract_z
Sr1 Sr 0.000 0.000 0.000
Sr2 Sr 0.000 0.000 0.500
Sr3 Sr 0.000 0.167 0.000
Ca1 Ca 0.000 0.167 0.500
Ti1 Ti 0.250 0.084 0.250
Ti2 Ti 0.250 0.250 0.250
O1 O 0.000 0.075 0.750
O2 O 0.000 0.093 0.252
O3 O 0.000 0.241 0.251
O4 O 0.222 0.167 0.749
O5 O 0.223 0.000 0.250
O6 O 0.249 0.084 0.500
O7 O 0.250 0.250 0.000
```

Main lines, in order of rising 2θ (10° ≤ 2θ ≤ 80°):
2θ (°)  Rel. int.  (hkl)
32.25  100  2 6 0
39.77  18  2 6 2
46.07  15  0 0 4
46.35  29  4 0 0
57.39  13  2 6 4
57.57  26  4 6 2
67.41  16  4 0 4
67.63  8  4 12 0
76.49  5  2 0 6
76.93  11  6 6 0


Record 5
# SrCaZr2O6
Calculated powder X-ray diffraction pattern, λ = 1.5418 Å (Cu Kα). Input: a GGA-PBE-relaxed structure.

Structural model:
```
data_SrCaZr2O6
_symmetry_space_group_name_H-M 'C m m m'
_symmetry_Int_Tables_number 65
_symmetry_space_group_name_Hall '-C 2 2'
_cell_length_a 8.131
_cell_length_b 8.194
_cell_length_c 4.204
_cell_angle_alpha 90.00
_cell_angle_beta 90.00
_cell_angle_gamma 90.00
loop_
_atom_site_label
_atom_site_type_symbol
_atom_site_fract_x
_atom_site_fract_y
_atom_site_fract_z
Sr1 Sr 0.000 0.000 0.000
Ca1 Ca 0.000 0.500 0.000
Zr1 Zr 0.250 0.250 0.500
O1 O 0.000 0.183 0.500
O2 O 0.178 0.500 0.500
O3 O 0.250 0.250 0.000
```

Main lines, in order of rising 2θ (10° ≤ 2θ ≤ 80°):
2θ (°)  Rel. int.  (hkl)
30.46  81  0 2 1
30.59  80  2 0 1
30.99  100  2 2 0
43.03  35  0 0 2
44.21  27  0 4 0
44.57  26  4 0 0
53.96  40  2 2 2
54.72  39  2 4 1
54.95  39  4 2 1
63.40  17  0 4 2